# 1
For V2O3F, a cell relaxed with GGA+U gives the calculated powder diffractogram in this record (Cu Kα).
Kinematic intensities with the Lorentz-polarization factor, no thermal factor.

Largest 8 diffraction maxima, low angle first, 2θ = 10–90°:
26.23 deg, I 95
27.45 deg, I 100
35.60 deg, I 94
40.18 deg, I 25
41.03 deg, I 19
52.61 deg, I 57
53.98 deg, I 73
67.54 deg, I 40

Structural model:
Unit cell a=2.989 b=6.499 c=6.796 alpha=90.00 beta=90.00 gamma=90.00
Positions (direct):
V (0.000, 0.000, 0.000)
V (0.000, 0.500, 0.500)
V (0.500, 0.000, 0.461)
V (0.500, 0.500, 0.961)
O (0.000, 0.000, 0.276)
O (0.000, 0.500, 0.776)
O (0.500, 0.196, 0.980)
O (0.500, 0.304, 0.480)
O (0.500, 0.696, 0.480)
O (0.500, 0.804, 0.980)
F (0.000, 0.000, 0.677)
F (0.000, 0.500, 0.177)

# 2
For V2OF5, a cell relaxed with GGA+U gives the calculated powder diffractogram in this record (Cu Kα).
Kinematic intensities with the Lorentz-polarization factor, no thermal factor.

Largest 8 diffraction maxima, low angle first, 2θ = 10–90°:
23.37 deg, I 100
23.42 deg, I 50
32.96 deg, I 11
39.41 deg, I 13
47.78 deg, I 22
47.90 deg, I 11
53.20 deg, I 11
53.38 deg, I 10

Structural model:
Unit cell a=5.310 b=5.320 c=13.494 alpha=89.66 beta=89.88 gamma=60.13
Positions (direct):
V (0.000, 0.000, 0.000)
V (0.013, 0.970, 0.496)
V (0.343, 0.293, 0.670)
V (0.375, 0.321, 0.159)
V (0.665, 0.665, 0.829)
V (0.710, 0.649, 0.337)
O (0.423, 0.010, 0.745)
O (0.656, 0.241, 0.084)
O (0.910, 0.731, 0.412)
F (0.003, 0.582, 0.745)
F (0.020, 0.407, 0.244)
F (0.086, 0.664, 0.085)
F (0.087, 0.239, 0.580)
F (0.252, 0.079, 0.085)
F (0.256, 0.641, 0.583)
F (0.342, 0.735, 0.915)
F (0.346, 0.887, 0.412)
F (0.441, 0.565, 0.251)
F (0.587, 0.986, 0.248)
F (0.589, 0.412, 0.743)
F (0.667, 0.073, 0.578)
F (0.753, 0.911, 0.915)
F (0.768, 0.304, 0.409)
F (0.929, 0.322, 0.913)

# 3
For V6O5F19, a cell relaxed with GGA+U gives the calculated powder diffractogram in this record (Cu Kα).
Kinematic intensities with the Lorentz-polarization factor, no thermal factor.

Largest 8 diffraction maxima, low angle first, 2θ = 10–90°:
18.22 deg, I 100
24.23 deg, I 96
25.33 deg, I 88
32.26 deg, I 15
40.68 deg, I 13
45.76 deg, I 14
48.27 deg, I 15
52.35 deg, I 13

Structural model:
Unit cell a=5.392 b=5.556 c=14.860 alpha=79.36 beta=89.48 gamma=87.10
Positions (direct):
V (0.000, 0.000, 0.000)
V (0.017, 0.595, 0.665)
V (0.420, 0.740, 0.334)
V (0.474, 0.457, 0.006)
V (0.525, 0.135, 0.677)
V (0.927, 0.229, 0.341)
O (0.167, 0.241, 0.980)
O (0.194, 0.575, 0.317)
O (0.248, 0.399, 0.650)
O (0.746, 0.313, 0.694)
O (0.757, 0.996, 0.358)
F (0.012, 0.562, 0.786)
F (0.036, 0.883, 0.118)
F (0.053, 0.232, 0.451)
F (0.166, 0.881, 0.644)
F (0.236, 0.062, 0.310)
F (0.261, 0.760, 0.980)
F (0.362, 0.386, 0.119)
F (0.365, 0.060, 0.783)
F (0.396, 0.754, 0.452)
F (0.521, 0.159, 0.556)
F (0.526, 0.472, 0.887)
F (0.555, 0.823, 0.224)
F (0.676, 0.828, 0.693)
F (0.677, 0.479, 0.365)
F (0.685, 0.145, 0.029)
F (0.745, 0.619, 0.030)
F (0.862, 0.648, 0.558)
F (0.873, 0.971, 0.894)
F (0.889, 0.352, 0.223)

# 4
For V2OF5, a cell relaxed with GGA+U gives the calculated powder diffractogram in this record (Cu Kα).
Kinematic intensities with the Lorentz-polarization factor, no thermal factor.

Largest 8 diffraction maxima, low angle first, 2θ = 10–90°:
23.52 deg, I 100
23.70 deg, I 50
33.09 deg, I 13
39.64 deg, I 18
48.10 deg, I 21
53.38 deg, I 12
53.85 deg, I 12
55.04 deg, I 12

Structural model:
Unit cell a=5.420 b=5.420 c=17.696 alpha=100.94 beta=100.94 gamma=58.03
Positions (direct):
V (0.045, 0.045, 0.184)
V (0.215, 0.162, 0.565)
V (0.322, 0.298, 0.936)
V (0.417, 0.432, 0.314)
V (0.568, 0.583, 0.686)
V (0.702, 0.678, 0.064)
V (0.838, 0.785, 0.435)
V (0.955, 0.955, 0.816)
O (0.053, 0.185, 0.871)
O (0.096, 0.608, 0.352)
O (0.392, 0.904, 0.648)
O (0.815, 0.947, 0.129)
F (0.039, 0.405, 0.477)
F (0.089, 0.454, 0.026)
F (0.106, 0.688, 0.898)
F (0.123, 0.877, 0.500)
F (0.296, 0.660, 0.226)
F (0.302, 0.454, 0.627)
F (0.312, 0.894, 0.102)
F (0.340, 0.704, 0.774)
F (0.347, 0.137, 0.247)
F (0.546, 0.698, 0.373)
F (0.546, 0.911, 0.974)
F (0.564, 0.141, 0.847)
F (0.595, 0.961, 0.523)
F (0.610, 0.390, 0.000)
F (0.629, 0.172, 0.397)
F (0.788, 0.176, 0.726)
F (0.824, 0.212, 0.274)
F (0.828, 0.371, 0.603)
F (0.859, 0.436, 0.153)
F (0.863, 0.653, 0.753)

# 5
For V3O4F2, a cell relaxed with GGA+U gives the calculated powder diffractogram in this record (Cu Kα).
Kinematic intensities with the Lorentz-polarization factor, no thermal factor.

Largest 8 diffraction maxima, low angle first, 2θ = 10–90°:
26.76 deg, I 100
35.04 deg, I 13
35.38 deg, I 23
52.56 deg, I 15
52.76 deg, I 14
53.30 deg, I 14
53.63 deg, I 14
55.14 deg, I 18

Structural model:
Unit cell a=7.558 b=4.718 c=5.642 alpha=90.00 beta=94.99 gamma=90.00
Positions (direct):
V (0.000, 0.000, 0.000)
V (0.000, 0.500, 0.500)
V (0.344, 0.035, 0.346)
V (0.344, 0.465, 0.846)
V (0.656, 0.535, 0.154)
V (0.656, 0.965, 0.654)
O (0.109, 0.188, 0.303)
O (0.109, 0.312, 0.803)
O (0.442, 0.203, 0.641)
O (0.442, 0.297, 0.141)
O (0.558, 0.703, 0.859)
O (0.558, 0.797, 0.359)
O (0.891, 0.688, 0.197)
O (0.891, 0.812, 0.697)
F (0.242, 0.704, 0.543)
F (0.242, 0.796, 0.043)
F (0.758, 0.204, 0.957)
F (0.758, 0.296, 0.457)

# 6
For V3O4F2, a cell relaxed with GGA+U gives the calculated powder diffractogram in this record (Cu Kα).
Kinematic intensities with the Lorentz-polarization factor, no thermal factor.

Largest 8 diffraction maxima, low angle first, 2θ = 10–90°:
26.99 deg, I 100
34.67 deg, I 12
34.87 deg, I 12
35.01 deg, I 25
40.18 deg, I 12
53.06 deg, I 23
53.20 deg, I 14
55.63 deg, I 17

Structural model:
Unit cell a=5.583 b=5.591 c=7.304 alpha=72.89 beta=72.08 gamma=72.54
Positions (direct):
V (0.000, 0.000, 0.000)
V (0.000, 0.000, 0.500)
V (0.297, 0.368, 0.148)
V (0.349, 0.355, 0.666)
V (0.651, 0.645, 0.334)
V (0.703, 0.632, 0.852)
O (0.024, 0.639, 0.171)
O (0.108, 0.110, 0.195)
O (0.304, 0.707, 0.498)
O (0.436, 0.444, 0.874)
O (0.564, 0.556, 0.126)
O (0.696, 0.293, 0.502)
O (0.892, 0.890, 0.805)
O (0.976, 0.361, 0.829)
F (0.238, 0.244, 0.456)
F (0.378, 0.964, 0.828)
F (0.622, 0.036, 0.172)
F (0.762, 0.756, 0.544)

# 7
For V2O3F3, a cell relaxed with GGA+U gives the calculated powder diffractogram in this record (Cu Kα).
Kinematic intensities with the Lorentz-polarization factor, no thermal factor.

Largest 8 diffraction maxima, low angle first, 2θ = 10–90°:
23.41 deg, I 100
23.71 deg, I 48
33.14 deg, I 9
47.83 deg, I 11
47.94 deg, I 11
48.52 deg, I 11
54.01 deg, I 8
54.28 deg, I 10

Structural model:
Unit cell a=5.338 b=5.410 c=7.508 alpha=88.82 beta=89.32 gamma=89.86
Positions (direct):
V (0.000, 0.000, 0.000)
V (0.005, 0.077, 0.470)
V (0.492, 0.568, 0.501)
V (0.498, 0.505, 0.971)
O (0.083, 0.041, 0.254)
O (0.253, 0.318, 0.967)
O (0.253, 0.761, 0.529)
O (0.586, 0.535, 0.754)
O (0.807, 0.315, 0.467)
O (0.812, 0.759, 0.027)
F (0.303, 0.254, 0.531)
F (0.318, 0.816, 0.965)
F (0.470, 0.540, 0.242)
F (0.741, 0.260, 0.035)
F (0.754, 0.824, 0.467)
F (0.967, 0.041, 0.742)

# 8
For V4O7F5, a cell relaxed with GGA+U gives the calculated powder diffractogram in this record (Cu Kα).
Kinematic intensities with the Lorentz-polarization factor, no thermal factor.

Largest 8 diffraction maxima, low angle first, 2θ = 10–90°:
23.44 deg, I 100
24.98 deg, I 46
34.04 deg, I 14
39.73 deg, I 14
47.94 deg, I 19
51.26 deg, I 9
54.14 deg, I 9
56.45 deg, I 10

Structural model:
Unit cell a=5.443 b=5.298 c=7.134 alpha=90.00 beta=92.21 gamma=90.00
Positions (direct):
V (0.034, 0.000, 0.254)
V (0.456, 0.516, 0.745)
V (0.544, 0.516, 0.255)
V (0.966, 0.000, 0.746)
O (0.000, 0.957, 0.500)
O (0.195, 0.747, 0.203)
O (0.213, 0.335, 0.710)
O (0.500, 0.478, 0.000)
O (0.500, 0.610, 0.500)
O (0.787, 0.335, 0.290)
O (0.805, 0.747, 0.797)
F (0.000, 0.142, 0.000)
F (0.294, 0.838, 0.794)
F (0.298, 0.245, 0.293)
F (0.702, 0.245, 0.707)
F (0.706, 0.838, 0.206)

# 9
For V6O7F5, a cell relaxed with GGA+U gives the calculated powder diffractogram in this record (Cu Kα).
Kinematic intensities with the Lorentz-polarization factor, no thermal factor.

Largest 8 diffraction maxima, low angle first, 2θ = 10–90°:
26.62 deg, I 100
27.31 deg, I 96
34.56 deg, I 48
34.68 deg, I 26
34.80 deg, I 24
40.04 deg, I 21
53.12 deg, I 29
59.47 deg, I 20

Structural model:
Unit cell a=4.657 b=5.621 c=7.811 alpha=86.32 beta=88.84 gamma=89.01
Positions (direct):
V (0.000, 0.000, 0.000)
V (0.002, 0.666, 0.330)
V (0.492, 0.160, 0.323)
V (0.499, 0.845, 0.685)
V (0.520, 0.490, 0.972)
V (0.972, 0.306, 0.644)
O (0.183, 0.954, 0.235)
O (0.289, 0.133, 0.563)
O (0.303, 0.790, 0.904)
O (0.685, 0.202, 0.096)
O (0.715, 0.525, 0.753)
O (0.804, 0.036, 0.764)
O (0.804, 0.367, 0.426)
F (0.193, 0.297, 0.883)
F (0.208, 0.626, 0.561)
F (0.294, 0.465, 0.214)
F (0.690, 0.857, 0.437)
F (0.795, 0.697, 0.100)

# 10
For VOF2, a cell relaxed with GGA+U gives the calculated powder diffractogram in this record (Cu Kα).
Kinematic intensities with the Lorentz-polarization factor, no thermal factor.

Largest 8 diffraction maxima, low angle first, 2θ = 10–90°:
18.87 deg, I 100
26.30 deg, I 76
30.21 deg, I 11
30.46 deg, I 12
40.64 deg, I 29
41.20 deg, I 29
50.22 deg, I 16
54.84 deg, I 12

Structural model:
Unit cell a=9.868 b=3.633 c=3.103 alpha=90.00 beta=107.57 gamma=90.00
Positions (direct):
V (0.000, 0.000, 0.000)
V (0.500, 0.500, 0.000)
O (0.000, 0.500, 0.000)
O (0.500, 0.000, 0.000)
F (0.133, 0.000, 0.628)
F (0.367, 0.500, 0.372)
F (0.633, 0.500, 0.628)
F (0.867, 0.000, 0.372)

# 11
For VOF3, a cell relaxed with GGA+U gives the calculated powder diffractogram in this record (Cu Kα).
Kinematic intensities with the Lorentz-polarization factor, no thermal factor.

Largest 8 diffraction maxima, low angle first, 2θ = 10–90°:
14.13 deg, I 100
20.06 deg, I 30
20.46 deg, I 22
26.88 deg, I 56
28.50 deg, I 39
30.37 deg, I 19
39.36 deg, I 22
39.76 deg, I 20

Structural model:
Unit cell a=7.065 b=7.065 c=4.651 alpha=108.49 beta=108.49 gamma=39.13
Positions (direct):
V (0.184, 0.184, 0.210)
V (0.816, 0.816, 0.790)
O (0.559, 0.046, 0.525)
O (0.954, 0.441, 0.475)
F (0.151, 0.659, 0.718)
F (0.158, 0.425, 0.075)
F (0.341, 0.849, 0.282)
F (0.575, 0.842, 0.925)
F (0.773, 0.059, 0.116)
F (0.941, 0.227, 0.884)